Theoretical XRD peak list
Compound: CePr5Tl4
Radiation: CuKα
Structure: a PBE-relaxed structure
Neutral-atom scattering factors, no anomalous dispersion.

Top 10 peaks for 10 to 90 degrees two-theta, in order of rising 2θ:
2θ 17.27, rel. 32, (1 1 1); 2θ 21.19, rel. 41, (0 2 1); 2θ 23.57, rel. 100, (2 0 1); 2θ 27.32, rel. 32, (0 2 2); 2θ 29.24, rel. 63, (2 0 2); 2θ 29.98, rel. 72, (0 3 1); 2θ 31.25, rel. 35, (0 1 3); 2θ 34.95, rel. 79, (2 2 2); 2θ 36.38, rel. 66, (1 3 2); 2θ 44.66, rel. 69, (3 3 1)

Structural model:
```
data_CePr5Tl4
_chemical_formula_sum 'Ce2 Pr10 Tl8'
_symmetry_space_group_name_H-M 'P m m n'
_symmetry_Int_Tables_number 59
_cell_length_a 8.3146
_cell_length_b 9.4761
_cell_length_c 9.0060
_cell_angle_alpha 90.00
_cell_angle_beta 90.00
_cell_angle_gamma 90.00
loop_
_symmetry_equiv_pos_as_xyz
'x,y,z'
'-x,-y,-z'
'-x+1/2,-y+1/2,z'
'x+1/2,y+1/2,-z'
'x+1/2,-y,-z'
'-x+1/2,y,z'
'-x,y+1/2,-z'
'x,-y+1/2,z'
loop_
_atom_site_label
_atom_site_fract_x
_atom_site_fract_y
_atom_site_fract_z
Ce1 0.2500 0.2500 0.1867
Pr1 0.0117 0.5553 0.2286
Pr2 0.2500 0.7500 0.5807
Tl1 0.0801 0.7500 0.9371
Tl2 0.2500 0.0876 0.5037
```